For LaHg2, DFT lattice parameters and positions (GGA-PBE) gives the simulated powder diffractogram in this record (CuKα).

Most intense lines, 10° ≤ 2θ ≤ 90°, by intensity:
| 2θ/deg | I (rel.) |
| --- | --- |
| 33.40 | 100 |
| 32.98 | 95 |
| 59.43 | 36 |
| 47.64 | 34 |
| 65.75 | 25 |
| 59.70 | 19 |

Structural model:
a b c (Å): 6.696 5.367 9.291
angles (deg): 90.00 90.00 90.00
Positions (direct):
La1 0.233 0.250 0.084
La2 0.267 0.750 0.584
La3 0.733 0.250 0.416
La4 0.767 0.750 0.916
Hg1 0.003 0.250 0.746
Hg2 0.230 0.250 0.418
Hg3 0.270 0.750 0.918
Hg4 0.497 0.750 0.246
Hg5 0.503 0.250 0.754
Hg6 0.730 0.250 0.082
Hg7 0.770 0.750 0.582
Hg8 0.997 0.750 0.254


For H2PtCl8, DFT lattice parameters and positions (GGA-PBE) gives the simulated powder diffractogram in this record (CuKα).

Most intense lines, 10° ≤ 2θ ≤ 90°, by intensity:
| 2θ/deg | I (rel.) |
| --- | --- |
| 11.43 | 100 |
| 13.34 | 36 |
| 19.99 | 29 |
| 21.15 | 22 |
| 29.58 | 19 |
| 18.61 | 19 |

Structural model:
a b c (Å): 8.201 8.201 5.227
angles (deg): 94.82 94.82 71.07
Positions (direct):
H1 0.218 0.218 0.261
H2 0.782 0.782 0.739
Pt1 0.500 0.500 0.500
Cl1 0.144 0.144 0.078
Cl2 0.272 0.619 0.204
Cl3 0.335 0.335 0.619
Cl4 0.381 0.728 0.796
Cl5 0.619 0.272 0.204
Cl6 0.665 0.665 0.381
Cl7 0.728 0.381 0.796
Cl8 0.856 0.856 0.922


For Ho3HfAg3S8, DFT lattice parameters and positions (GGA-PBE) gives the simulated powder diffractogram in this record (CuKα).

Most intense lines, 10° ≤ 2θ ≤ 90°, by intensity:
| 2θ/deg | I (rel.) |
| --- | --- |
| 32.34 | 100 |
| 27.84 | 74 |
| 46.17 | 54 |
| 32.48 | 49 |
| 46.81 | 34 |
| 14.03 | 30 |

Structural model:
a b c (Å): 7.764 7.764 7.796
angles (deg): 119.28 119.28 60.86
Positions (direct):
Ho1 0.000 0.000 0.000
Ho2 0.000 0.500 0.500
Ho3 0.500 0.000 0.500
Hf1 0.500 0.500 0.000
Ag1 0.000 0.500 0.000
Ag2 0.500 0.000 0.000
Ag3 0.500 0.500 0.500
S1 0.247 0.247 0.255
S2 0.261 0.734 0.768
S3 0.266 0.266 0.759
S4 0.266 0.739 0.232
S5 0.734 0.261 0.768
S6 0.734 0.734 0.241
S7 0.739 0.266 0.232
S8 0.753 0.753 0.745


For ZnI, DFT lattice parameters and positions (GGA-PBE) gives the simulated powder diffractogram in this record (CuKα).

Most intense lines, 10° ≤ 2θ ≤ 90°, by intensity:
| 2θ/deg | I (rel.) |
| --- | --- |
| 37.78 | 100 |
| 25.60 | 67 |
| 21.52 | 56 |
| 19.22 | 52 |
| 27.31 | 43 |
| 13.56 | 42 |

Structural model:
a b c (Å): 9.235 9.235 4.112
angles (deg): 90.00 90.00 90.00
Positions (direct):
Zn1 0.090 0.090 0.000
Zn2 0.410 0.590 0.500
Zn3 0.590 0.410 0.500
Zn4 0.910 0.910 0.000
I1 0.224 0.224 0.500
I2 0.276 0.724 0.000
I3 0.724 0.276 0.000
I4 0.776 0.776 0.500


For MgGaH4Cl, DFT lattice parameters and positions (GGA-PBE) gives the simulated powder diffractogram in this record (CuKα).

Most intense lines, 10° ≤ 2θ ≤ 90°, by intensity:
| 2θ/deg | I (rel.) |
| --- | --- |
| 24.85 | 100 |
| 27.17 | 90 |
| 33.36 | 56 |
| 24.03 | 51 |
| 35.79 | 46 |
| 23.66 | 35 |

Structural model:
a b c (Å): 5.318 5.318 8.574
angles (deg): 110.20 110.20 76.21
Positions (direct):
Mg1 0.044 0.044 0.214
Mg2 0.956 0.956 0.786
Ga1 0.300 0.300 0.655
Ga2 0.700 0.700 0.345
H1 0.114 0.114 0.666
H2 0.218 0.613 0.741
H3 0.253 0.253 0.451
H4 0.387 0.782 0.259
H5 0.613 0.218 0.741
H6 0.747 0.747 0.549
H7 0.782 0.387 0.259
H8 0.886 0.886 0.334
Cl1 0.220 0.220 0.058
Cl2 0.780 0.780 0.942


For Al11Cr4, DFT lattice parameters and positions (GGA-PBE) gives the simulated powder diffractogram in this record (CuKα).

Most intense lines, 10° ≤ 2θ ≤ 90°, by intensity:
| 2θ/deg | I (rel.) |
| --- | --- |
| 41.94 | 100 |
| 40.85 | 57 |
| 41.57 | 49 |
| 41.14 | 47 |
| 42.91 | 41 |
| 41.27 | 39 |

Structural model:
a b c (Å): 5.094 5.139 8.966
angles (deg): 74.31 89.75 79.56
Positions (direct):
Al1 0.000 0.000 0.000
Al2 0.057 0.823 0.317
Al3 0.148 0.534 0.874
Al4 0.192 0.272 0.367
Al5 0.424 0.329 0.626
Al6 0.490 0.100 0.125
Al7 0.510 0.900 0.875
Al8 0.576 0.671 0.374
Al9 0.808 0.728 0.633
Al10 0.852 0.466 0.126
Al11 0.943 0.177 0.683
Cr1 0.295 0.855 0.599
Cr2 0.344 0.602 0.133
Cr3 0.656 0.398 0.867
Cr4 0.705 0.145 0.401


For Tm3ZnBi2, DFT lattice parameters and positions (GGA-PBE) gives the simulated powder diffractogram in this record (CuKα).

Most intense lines, 10° ≤ 2θ ≤ 90°, by intensity:
| 2θ/deg | I (rel.) |
| --- | --- |
| 44.25 | 100 |
| 32.29 | 88 |
| 29.43 | 77 |
| 24.75 | 51 |
| 21.70 | 43 |
| 38.82 | 32 |

Structural model:
a b c (Å): 8.123 8.123 4.095
angles (deg): 90.00 90.00 136.13
Positions (direct):
Tm1 0.000 0.000 0.000
Tm2 0.362 0.638 0.500
Tm3 0.638 0.362 0.500
Zn1 0.500 0.500 0.000
Bi1 0.158 0.842 0.500
Bi2 0.842 0.158 0.500


For BaGeS, DFT lattice parameters and positions (GGA-PBE) gives the simulated powder diffractogram in this record (CuKα).

Most intense lines, 10° ≤ 2θ ≤ 90°, by intensity:
| 2θ/deg | I (rel.) |
| --- | --- |
| 31.80 | 100 |
| 22.90 | 85 |
| 27.19 | 79 |
| 28.58 | 45 |
| 33.02 | 36 |
| 39.20 | 30 |

Structural model:
a b c (Å): 12.250 4.296 4.296
angles (deg): 64.67 90.00 90.00
Positions (direct):
Ba1 0.204 0.000 0.000
Ba2 0.796 0.000 0.000
Ge1 0.000 0.651 0.651
Ge2 0.500 0.845 0.845
S1 0.354 0.644 0.644
S2 0.646 0.644 0.644